Entry 1:
Structure and computed X-ray powder pattern of Np3Ga8Au3 (a cell relaxed with PBE; Cu Kα X-rays).
Lines closer than 0.1° are merged.

Largest 8 diffraction maxima, in order of rising 2θ, 10° ≤ 2θ ≤ 80°:
| two_theta | I/Imax |
| --- | --- |
| 21.3 | 29 |
| 26.9 | 29 |
| 35.8 | 54 |
| 36.0 | 37 |
| 37.3 | 36 |
| 39.4 | 65 |
| 39.9 | 100 |
| 49.9 | 25 |

Atomic structure:
Cell: 4.5154 10.7391 10.9503 Å, 90.00 90.00 90.00°
Space group Immm (No. 71)
One atom of each set of equivalent atoms:
Np (0.0000, 0.0000, 0.0000) (multiplicity 2)
Np (0.0000, 0.2447, 0.0000) (multiplicity 4)
Ga (0.0000, 0.1435, 0.2863) (multiplicity 8)
Ga (0.0000, 0.3733, 0.3617) (multiplicity 8)
Au (0.0000, 0.0000, 0.5000) (multiplicity 2)
Au (0.0000, 0.5000, 0.1505) (multiplicity 4)

=====

Entry 2:
Structure and computed X-ray powder pattern of NpGa4Au3 (a cell relaxed with PBE; Cu Kα X-rays).
Lines closer than 0.1° are merged.

Largest 8 diffraction maxima, in order of rising 2θ, 10° ≤ 2θ ≤ 80°:
| two_theta | I/Imax |
| --- | --- |
| 29.0 | 100 |
| 29.4 | 43 |
| 31.1 | 40 |
| 35.9 | 42 |
| 42.1 | 74 |
| 42.8 | 46 |
| 46.2 | 49 |
| 51.9 | 41 |

Atomic structure:
Cell: 4.2950 4.2950 8.8380 Å, 90.00 90.00 90.00°
Space group P4/mmm (No. 123)
One atom of each set of equivalent atoms:
Np (0.0000, 0.0000, 0.0000) (multiplicity 1)
Ga (0.0000, 0.5000, 0.3224) (multiplicity 4)
Au (0.0000, 0.0000, 0.5000) (multiplicity 1)
Au (0.5000, 0.5000, 0.1521) (multiplicity 2)

=====

Entry 3:
Structure and computed X-ray powder pattern of Np2Ga6Au (a cell relaxed with PBE; Cu Kα X-rays).
Lines closer than 0.1° are merged.

Largest 8 diffraction maxima, in order of rising 2θ, 10° ≤ 2θ ≤ 80°:
| two_theta | I/Imax |
| --- | --- |
| 21.3 | 43 |
| 29.8 | 100 |
| 31.7 | 51 |
| 37.4 | 99 |
| 38.6 | 30 |
| 43.0 | 38 |
| 43.4 | 33 |
| 61.9 | 30 |

Atomic structure:
Cell: 5.8773 8.3467 7.6744 Å, 90.00 90.00 90.00°
Space group Cmmm (No. 65)
One atom of each set of equivalent atoms:
Np (0.0000, 0.0000, 0.2490) (multiplicity 4)
Ga (0.0000, 0.5000, 0.1696) (multiplicity 4)
Ga (0.2500, 0.2500, 0.0000) (multiplicity 4)
Ga (0.2500, 0.2500, 0.5000) (multiplicity 4)
Au (0.0000, 0.5000, 0.5000) (multiplicity 2)

=====

Entry 4:
Structure and computed X-ray powder pattern of NpGaAu2 (a cell relaxed with PBE; Cu Kα X-rays).
Lines closer than 0.1° are merged.

Largest 8 diffraction maxima, in order of rising 2θ, 10° ≤ 2θ ≤ 80°:
| two_theta | I/Imax |
| --- | --- |
| 31.8 | 15 |
| 33.3 | 18 |
| 34.3 | 23 |
| 37.3 | 100 |
| 38.4 | 32 |
| 38.6 | 29 |
| 68.7 | 17 |
| 72.2 | 11 |

Atomic structure:
Cell: 4.6937 10.7549 6.5966 Å, 90.00 90.00 90.00°
Space group Ama2 (No. 40)
One atom of each set of equivalent atoms:
Np (0.2500, 0.1376, 0.0000) (multiplicity 4)
Ga (0.2500, 0.4130, 0.7958) (multiplicity 4)
Au (0.2500, 0.1768, 0.4854) (multiplicity 4)
Au (0.2500, 0.4116, 0.2103) (multiplicity 4)